Structure and theoretical powder diffraction line list of LiMnF5 (the PBE+U geometry in Alexandria; Cu Kα).
No peak broadening, texture or thermal motion is included.

Largest 12 diffraction maxima, by angle, 10 to 90 degrees two-theta:
| d_spacing | Rel. int. | (hkl) |
| --- | --- | --- |
| 5.054 | 100 | 0 1 0 |
| 5.026 | 97 | 1 0 0 |
| 4.567 | 54 | 1 -1 0 |
| 3.314 | 56 | 0 1 -2 |
| 3.240 | 25 | 1 0 -2 |
| 3.021 | 11 | 1 1 0 |
| 2.721 | 16 | 1 -1 2 |
| 2.648 | 11 | -1 1 2 |
| 2.366 | 10 | -1 2 1 |
| 1.970 | 12 | 1 2 0 |
| 1.965 | 10 | 2 1 0 |
| 1.753 | 17 | 0 1 -4 |

Cell and atoms:
```
data_LiMnF5
_chemical_formula_sum 'Li2 Mn2 F10'
_symmetry_space_group_name_H-M 'P -1'
_symmetry_Int_Tables_number 2
_symmetry_space_group_name_Hall '-P 1'
_cell_length_a 5.563
_cell_length_b 5.658
_cell_length_c 7.148
_cell_angle_alpha 103.91
_cell_angle_beta 101.03
_cell_angle_gamma 109.07
loop_
_atom_site_label
_atom_site_fract_x
_atom_site_fract_y
_atom_site_fract_z
Li1 0.186 0.315 0.248
Mn1 0.500 0.000 0.000
Mn2 0.500 0.000 0.500
F1 0.146 0.811 0.950
F2 0.227 0.086 0.399
F3 0.271 0.657 0.427
F4 0.424 0.074 0.753
F5 0.460 0.299 0.125
```